Calculated PXRD pattern of LiIn6Pd for λ = 1.5418 Å (Cu Kα), from DFT lattice parameters and positions (GGA-PBE).
Neutral-atom scattering factors, no anomalous dispersion.

Top 6 peaks for 2θ = 10–80°, in order of rising 2θ:
2θ 33.46, d 2.678, rel. 100; 2θ 35.78, d 2.510, rel. 82; 2θ 39.93, d 2.258, rel. 60; 2θ 40.74, d 2.215, rel. 32; 2θ 58.37, d 1.581, rel. 38; 2θ 66.98, d 1.397, rel. 25

Atomic structure:
a b c (Å): 7.532 6.959 5.561
angles (deg): 73.00 62.08 44.91
Element x y z (fractional)
Li1 0.000 0.000 0.000
In1 0.119 0.119 0.381
In2 0.255 0.255 0.745
In3 0.381 0.381 0.119
In4 0.619 0.619 0.881
In5 0.745 0.745 0.255
In6 0.881 0.881 0.619
Pd1 0.500 0.500 0.500

Calculated PXRD pattern of Li5In6Pd for λ = 1.5418 Å (Cu Kα), from DFT lattice parameters and positions (GGA-PBE).
Neutral-atom scattering factors, no anomalous dispersion.

Top 6 peaks for 2θ = 10–80°, in order of rising 2θ:
2θ 25.11, d 3.546, rel. 33; 2θ 27.15, d 3.285, rel. 27; 2θ 27.25, d 3.273, rel. 27; 2θ 37.35, d 2.407, rel. 100; 2θ 38.84, d 2.318, rel. 45; 2θ 46.82, d 1.940, rel. 24

Atomic structure:
a b c (Å): 4.637 7.092 7.323
angles (deg): 90.00 108.25 90.00
Element x y z (fractional)
Li1 0.000 0.000 0.000
Li2 0.328 0.000 0.659
Li3 0.338 0.500 0.678
Li4 0.662 0.500 0.322
Li5 0.672 0.000 0.341
In1 0.168 0.257 0.334
In2 0.168 0.743 0.334
In3 0.500 0.248 0.000
In4 0.500 0.752 0.000
In5 0.832 0.257 0.666
In6 0.832 0.743 0.666
Pd1 0.000 0.500 0.000

Calculated PXRD pattern of LiIn3Pd6 for λ = 1.5418 Å (Cu Kα), from DFT lattice parameters and positions (GGA-PBE).
Neutral-atom scattering factors, no anomalous dispersion.

Top 6 peaks for 2θ = 10–80°, in order of rising 2θ:
2θ 37.55, d 2.395, rel. 24; 2θ 38.35, d 2.347, rel. 34; 2θ 40.74, d 2.215, rel. 100; 2θ 42.36, d 2.134, rel. 15; 2θ 54.76, d 1.676, rel. 16; 2θ 70.96, d 1.328, rel. 19

Atomic structure:
a b c (Å): 7.591 4.694 10.032
angles (deg): 90.00 111.88 90.00
Element x y z (fractional)
Li1 0.048 0.250 0.419
Li2 0.952 0.750 0.581
In1 0.217 0.250 0.013
In2 0.350 0.750 0.778
In3 0.452 0.250 0.614
In4 0.548 0.750 0.386
In5 0.650 0.250 0.222
In6 0.783 0.750 0.987
Pd1 0.058 0.750 0.866
Pd2 0.138 0.250 0.706
Pd3 0.161 0.750 0.182
Pd4 0.250 0.750 0.484
Pd5 0.336 0.250 0.319
Pd6 0.465 0.750 0.077
Pd7 0.535 0.250 0.923
Pd8 0.664 0.750 0.681
Pd9 0.750 0.250 0.516
Pd10 0.839 0.250 0.818
Pd11 0.862 0.750 0.294
Pd12 0.942 0.250 0.134